No. 1
Calculated PXRD pattern of Zr3Al3C5 for CuKα, from a GGA-PBE-relaxed structure.
Neutral-atom scattering factors, no anomalous dispersion.

The 12 most intense peaks (2θ = 15–90°), in order of falling intensity:
33.55 deg, intensity 100
32.54 deg, intensity 88
41.93 deg, intensity 78
36.31 deg, intensity 77
55.52 deg, intensity 73
39.88 deg, intensity 69
31.35 deg, intensity 61
36.68 deg, intensity 49
68.40 deg, intensity 45
51.47 deg, intensity 40
30.40 deg, intensity 27
59.78 deg, intensity 21

Crystal structure
Cell: 3.3104 3.3104 29.4001 Å, 90.00 90.00 120.00°
Fractional coordinates of all 22 atoms:
Zr1 0.0000 0.0000 0.0000
Zr2 0.0000 0.0000 0.5000
Zr3 0.3333 0.6667 0.0905
Zr4 0.3333 0.6667 0.4095
Zr5 0.6667 0.3333 0.5905
Zr6 0.6667 0.3333 0.9095
Al1 0.0000 0.0000 0.2500
Al2 0.0000 0.0000 0.7500
Al3 0.3333 0.6667 0.1787
Al4 0.3333 0.6667 0.3213
Al5 0.6667 0.3333 0.6787
Al6 0.6667 0.3333 0.8213
C1 0.0000 0.0000 0.1497
C2 0.0000 0.0000 0.3503
C3 0.0000 0.0000 0.6497
C4 0.0000 0.0000 0.8503
C5 0.3333 0.6667 0.5478
C6 0.3333 0.6667 0.7500
C7 0.3333 0.6667 0.9522
C8 0.6667 0.3333 0.0478
C9 0.6667 0.3333 0.2500
C10 0.6667 0.3333 0.4522



No. 2
Calculated PXRD pattern of Na2AgRuF6 for CuKα, from a GGA-PBE-relaxed structure.
Neutral-atom scattering factors, no anomalous dispersion.

The 12 most intense peaks (2θ = 15–90°), in order of falling intensity:
20.40 deg, intensity 100
29.00 deg, intensity 97
41.48 deg, intensity 50
46.65 deg, intensity 40
51.41 deg, intensity 38
60.11 deg, intensity 29
82.99 deg, intensity 19
64.17 deg, intensity 18
68.10 deg, intensity 17
75.67 deg, intensity 9
79.35 deg, intensity 8
71.93 deg, intensity 2

Crystal structure
Cell: 6.1573 6.1573 6.1573 Å, 60.00 60.00 60.00°
Fractional coordinates of all 10 atoms:
Na1 0.2500 0.2500 0.2500
Na2 0.7500 0.7500 0.7500
Ag1 0.0000 0.0000 0.0000
Ru1 0.5000 0.5000 0.5000
F1 0.2682 0.2682 0.7318
F2 0.2682 0.7318 0.2682
F3 0.2682 0.7318 0.7318
F4 0.7318 0.2682 0.2682
F5 0.7318 0.2682 0.7318
F6 0.7318 0.7318 0.2682



What did the second record say?
Calculated PXRD pattern of Na2AgRuF6 for CuKα, from a GGA-PBE-relaxed structure.
Neutral-atom scattering factors, no anomalous dispersion.

The 12 most intense peaks (2θ = 15–90°), in order of falling intensity:
20.40 deg, intensity 100
29.00 deg, intensity 97
41.48 deg, intensity 50
46.65 deg, intensity 40
51.41 deg, intensity 38
60.11 deg, intensity 29
82.99 deg, intensity 19
64.17 deg, intensity 18
68.10 deg, intensity 17
75.67 deg, intensity 9
79.35 deg, intensity 8
71.93 deg, intensity 2

Crystal structure
Cell: 6.1573 6.1573 6.1573 Å, 60.00 60.00 60.00°
Fractional coordinates of all 10 atoms:
Na1 0.2500 0.2500 0.2500
Na2 0.7500 0.7500 0.7500
Ag1 0.0000 0.0000 0.0000
Ru1 0.5000 0.5000 0.5000
F1 0.2682 0.2682 0.7318
F2 0.2682 0.7318 0.2682
F3 0.2682 0.7318 0.7318
F4 0.7318 0.2682 0.2682
F5 0.7318 0.2682 0.7318
F6 0.7318 0.7318 0.2682